Ho2ZnAgAs2O2: theoretical PXRD pattern (a wavelength of 1.5418 Å), based on a DFT-relaxed cell (GGA-PBE, OQMD).

Largest 12 diffraction maxima, sorted by position, 15 to 90 degrees two-theta:
- 2θ 30.1, I 100
- 2θ 32.3, I 15
- 2θ 33.8, I 45
- 2θ 37.4, I 34
- 2θ 38.0, I 28
- 2θ 46.3, I 40
- 2θ 50.0, I 11
- 2θ 51.9, I 31
- 2θ 56.2, I 34
- 2θ 61.0, I 16
- 2θ 67.6, I 12
- 2θ 70.5, I 16

Structure:
Lattice parameters (Å, degrees): 3.918 3.918 9.125 90.00 90.00 90.00
Fractional coordinates of all 8 atoms:
Ho1 0.000 0.500 0.119
Ho2 0.500 0.000 0.881
Zn1 0.500 0.500 0.500
Ag1 0.000 0.000 0.500
As1 0.000 0.500 0.694
As2 0.500 0.000 0.306
O1 0.000 0.000 0.000
O2 0.500 0.500 0.000